Record 1
For Pr2CuSn4Rh3, a GGA-PBE-relaxed structure gives the calculated PXRD pattern in this record (Cu Kα (weighted mean of Kα1 and Kα2)).
Kinematic intensities with the Lorentz-polarization factor, no thermal factor.

Peak list (12 most intense, 10° ≤ 2θ ≤ 80°, by angle)
2theta, I_rel, hkl
27.4, 16, 1 1 0
32.3, 72, 1 0 3
32.4, 100, 1 1 2
39.2, 80, 2 0 0
44.5, 29, 1 1 4
47.9, 25, 1 0 5
51.6, 39, 2 1 3
56.6, 28, 2 2 0
60.4, 15, 1 1 6
63.5, 22, 2 1 5
66.7, 34, 3 1 2
74.7, 13, 3 1 4

Cell and atoms:
```
Pr2CuSn4Rh3
1.0
4.6001 0.0000 0.0000
0.0000 4.6001 0.0000
0.0000 0.0000 10.4297
Pr Cu Sn Rh
2 1 4 3
direct
0.0000 0.5000 0.2450
0.5000 0.0000 0.7550
0.5000 0.5000 0.0000
0.0000 0.0000 0.5000
0.0000 0.5000 0.8756
0.5000 0.0000 0.1244
0.5000 0.5000 0.5000
0.0000 0.0000 0.0000
0.0000 0.5000 0.6282
0.5000 0.0000 0.3718
```

Record 2
For Pr2Zn2CuRh5, a GGA-PBE-relaxed structure gives the calculated PXRD pattern in this record (Cu Kα (weighted mean of Kα1 and Kα2)).
Kinematic intensities with the Lorentz-polarization factor, no thermal factor.

Peak list (12 most intense, 10° ≤ 2θ ≤ 80°, by angle)
2theta, I_rel, hkl
30.3, 12, 2 0 1
31.7, 26, 2 1 1
35.6, 23, 2 2 1
38.1, 100, 3 1 1
38.4, 56, 4 1 0
39.6, 22, 3 3 0
41.5, 40, 3 2 1
41.8, 11, 4 2 0
44.7, 13, 4 0 1
48.8, 26, 0 0 2
63.8, 25, 4 1 2
66.9, 11, 5 4 1

Cell and atoms:
```
Pr2Zn2CuRh5
1.0
9.6628 0.0000 0.0000
0.0000 9.6628 0.0000
0.0000 0.0000 3.7306
Pr Zn Cu Rh
4 4 2 10
direct
0.1772 0.3228 0.0000
0.3228 0.8228 0.0000
0.6772 0.1772 0.0000
0.8228 0.6772 0.0000
0.1222 0.6222 0.0000
0.3778 0.1222 0.0000
0.6222 0.8778 0.0000
0.8778 0.3778 0.0000
0.0000 0.0000 0.0000
0.5000 0.5000 0.0000
0.0000 0.5000 0.5000
0.0636 0.7987 0.5000
0.2013 0.0636 0.5000
0.2987 0.5636 0.5000
0.4364 0.2987 0.5000
0.5000 0.0000 0.5000
0.5636 0.7013 0.5000
0.7013 0.4364 0.5000
0.7987 0.9364 0.5000
0.9364 0.2013 0.5000
```